Theoretical powder X-ray diffraction pattern of DyGa9Rh2 for Cu Kα (λ = 1.5418 Å), from a crystal structure in Alexandria, relaxed with GGA-PBE.

```
DyGa9Rh2
1.0
0.000 7.846 7.943
3.320 0.000 7.943
3.320 7.846 0.000
Dy Ga Rh
2 18 4
direct
0.125 0.125 0.125
0.875 0.875 0.875
0.051 0.768 0.390
0.052 0.390 0.770
0.230 0.713 0.948
0.232 0.949 0.709
0.287 0.770 0.390
0.291 0.390 0.768
0.375 0.375 0.375
0.390 0.052 0.287
0.390 0.291 0.051
0.610 0.709 0.949
0.610 0.948 0.713
0.625 0.625 0.625
0.709 0.610 0.232
0.713 0.230 0.610
0.768 0.051 0.291
0.770 0.287 0.052
0.948 0.610 0.230
0.949 0.232 0.610
0.000 0.500 0.500
0.500 0.000 0.500
0.500 0.500 0.000
0.500 0.500 0.500
```

Peak list (10 most intense, 2θ from 15° to 90°, sorted by position)
2θ (°), intensity
31.74, 43.5
32.05, 54.5
35.79, 52.2
36.16, 52.0
37.11, 100.0
37.24, 95.6
41.59, 52.1
42.73, 51.9
45.31, 27.8
45.64, 54.2



Theoretical powder X-ray diffraction pattern of DyGa4Rh2 for Cu Kα (λ = 1.5418 Å), from a crystal structure in Alexandria, relaxed with GGA-PBE.

```
DyGa4Rh2
1.0
16.562 0.000 0.000
0.000 4.180 0.000
0.000 0.000 6.801
Dy Ga Rh
4 16 8
direct
0.142 0.250 0.067
0.358 0.750 0.567
0.642 0.250 0.433
0.858 0.750 0.933
0.024 0.750 0.141
0.054 0.250 0.496
0.175 0.750 0.376
0.208 0.750 0.811
0.292 0.250 0.311
0.325 0.250 0.876
0.446 0.750 0.996
0.476 0.250 0.641
0.524 0.750 0.359
0.554 0.250 0.004
0.675 0.750 0.124
0.708 0.750 0.689
0.792 0.250 0.189
0.825 0.250 0.624
0.946 0.750 0.504
0.976 0.250 0.859
0.058 0.750 0.759
0.195 0.250 0.601
0.305 0.750 0.101
0.442 0.250 0.259
0.558 0.750 0.741
0.695 0.250 0.899
0.805 0.750 0.399
0.942 0.250 0.241
```

Peak list (10 most intense, 2θ from 15° to 90°, sorted by position)
2θ (°), intensity
35.08, 18.0
35.72, 63.8
37.07, 62.6
37.80, 100.0
39.11, 14.8
40.36, 17.7
41.33, 25.9
43.29, 56.3
56.25, 12.7
64.93, 22.1